Diffraction record for MgMn2FeWO6. The powder diffraction line list is calculated, not measured: it uses a GGA+U-relaxed structure and Cu Ka.
Lines closer than 0.1° are merged.

Most intense lines, 10° ≤ 2θ ≤ 90°, in order of rising 2θ:
2theta  I/Imax
16.97  97.1
19.74  87.0
21.80  62.1
22.68  60.0
29.15  70.5
29.66  66.8
30.62  61.4
33.23  100.0
33.34  99.0
33.56  88.6

Structural model:
```
11
Lattice="5.3490 0.0000 0.0000 2.6590 4.6747 0.0000 2.3839 1.5274 5.2246" Properties=species:S:1:pos:R:3 pbc="T T T"
Mg 0.0000 0.0000 0.0000
Mn 5.0668 3.0588 4.6963
Mn 7.8659 4.6464 2.6451
Fe 2.5675 1.5723 2.4752
W 5.2916 3.1104 0.2988
O 3.9995 4.7754 4.1874
O 3.4971 3.1213 1.2675
O 4.0518 1.3288 4.0432
O 6.2178 4.7086 1.2028
O 7.1016 3.1478 4.1338
O 6.2313 1.4663 1.3215
```

***

Diffraction record for UVO5. The powder diffraction line list is calculated, not measured: it uses a GGA+U-relaxed structure and Cu Ka.
Lines closer than 0.1° are merged.

Most intense lines, 10° ≤ 2θ ≤ 90°, in order of rising 2θ:
2theta  I/Imax
14.01  59.8
18.61  18.4
21.58  77.1
24.50  18.4
25.82  35.5
28.31  100.0
32.87  20.5
35.87  56.1
50.23  27.6
53.12  26.3

Structural model:
```
28
Lattice="4.1186 0.0000 0.0000 0.0000 12.6403 0.0000 0.0000 0.0000 7.2655" Properties=species:S:1:pos:R:3 pbc="T T T"
U 0.0346 0.3499 1.8164
U 0.0346 5.9703 5.4491
U 4.0840 6.6700 1.8164
U 4.0840 12.2904 5.4491
V 0.4072 9.4802 0.0000
V 0.4072 9.4802 3.6327
V 3.7114 3.1601 0.0000
V 3.7114 3.1601 3.6327
O 0.0174 8.8167 1.8164
O 0.0174 10.1437 5.4491
O 0.0534 7.5283 4.0095
O 0.0534 7.5283 6.8887
O 0.0534 11.4322 0.3768
O 0.0534 11.4322 3.2560
O 2.0251 6.6594 1.8164
O 2.0251 12.3010 5.4491
O 2.0582 3.1601 0.0000
O 2.0582 3.1601 3.6327
O 2.0604 9.4802 0.0000
O 2.0604 9.4802 3.6327
O 2.0935 0.3393 1.8164
O 2.0935 5.9809 5.4491
O 4.0653 1.2081 4.0095
O 4.0653 1.2081 6.8887
O 4.0653 5.1120 0.3768
O 4.0653 5.1120 3.2560
O 4.1012 2.4966 1.8164
O 4.1012 3.8236 5.4491
```

***

Diffraction record for NaVMoO6. The powder diffraction line list is calculated, not measured: it uses a GGA+U-relaxed structure and Cu Ka.
Lines closer than 0.1° are merged.

Most intense lines, 10° ≤ 2θ ≤ 90°, in order of rising 2θ:
2theta  I/Imax
13.00  100.0
20.01  31.4
25.90  37.3
26.29  43.4
27.28  67.2
27.84  41.1
30.78  21.3
37.08  23.2
48.80  20.4
58.03  18.3

Structural model:
```
9
Lattice="3.7325 0.0000 0.0000 -1.8615 4.7915 0.0000 -1.8586 -2.0136 6.8103" Properties=species:S:1:pos:R:3 pbc="T T T"
Na 0.0000 0.0000 0.0000
V -0.0271 2.8005 2.3459
Mo -0.0229 0.0373 4.1730
O -1.8901 3.1222 2.8564
O -0.0165 1.1144 2.0812
O -0.0182 3.4906 0.8430
O -0.0184 -0.7499 5.7309
O -0.0209 1.7407 4.6302
O 1.8421 -0.2730 3.6810
```

***

Diffraction record for Na4PuMo4O16. The powder diffraction line list is calculated, not measured: it uses a GGA+U-relaxed structure and Cu Ka.
Lines closer than 0.1° are merged.

Most intense lines, 10° ≤ 2θ ≤ 90°, in order of rising 2θ:
2theta  I/Imax
10.71  100.0
18.93  29.7
24.60  23.1
28.35  16.3
28.92  89.8
29.25  15.1
35.26  14.3
46.78  25.5
52.28  15.1
59.44  16.9

Structural model:
```
50
Lattice="-5.6917 5.6917 6.0072 5.6917 -5.6917 6.0072 5.6917 5.6917 -6.0072" Properties=species:S:1:pos:R:3 pbc="T T T"
Na 8.7923 1.6184 -1.1576
Na 6.9192 0.2547 1.8460
Na 2.5911 4.0733 -1.1576
Na 1.2275 0.2547 4.1612
Na 4.4643 5.4370 1.8460
Na 3.1006 1.6184 7.1647
Na -1.2275 5.4370 4.1612
Na -3.1006 4.0733 7.1647
Pu 0.0000 2.8459 1.5018
Pu 5.6917 2.8459 4.5054
Mo 4.6137 4.9077 -4.5341
Mo 3.6299 1.7678 1.5305
Mo 4.6137 -0.7840 4.5341
Mo 2.0618 -1.7678 7.5377
Mo 3.6299 7.4595 -1.5305
Mo 1.0780 6.4757 1.4731
Mo 2.0618 3.9239 4.4767
Mo 1.0780 0.7840 10.5413
O 3.7288 0.3875 0.4170
O 6.0876 4.5566 -3.6434
O 10.3896 0.8685 0.6429
O 8.9251 -0.8829 2.5866
O 1.3431 2.1580 -0.2789
O 6.0876 -1.1351 3.6434
O 3.2334 -0.8829 3.4206
O 7.4025 2.4499 0.6398
O 4.3486 -2.1580 5.7283
O 3.9809 3.2418 0.6398
O 1.9773 1.8521 2.3607
O 5.0039 1.5027 2.7247
O -0.6878 1.5027 3.2824
O 7.6690 1.8521 3.6465
O 0.9938 4.8232 0.6429
O 3.7288 6.0793 -0.4170
O 1.9629 -0.3875 6.4242
O 4.6979 0.8685 5.3643
O -1.9773 3.8396 2.3607
O 6.3795 4.1890 2.7247
O 0.6878 4.1889 3.2824
O 3.7144 3.8396 3.6465
O 1.7108 2.4499 5.3674
O 1.3431 7.8497 0.2789
O -1.7108 3.2418 5.3674
O 2.4583 6.5746 2.5866
O -0.3959 6.8268 2.3638
O 4.3486 3.5337 6.2860
O -3.2334 6.5746 3.4206
O -4.6979 4.8232 5.3643
O -0.3959 1.1351 9.6506
O 1.9629 5.3042 5.5902
```

***

Diffraction record for Li4MnVP3O12. The powder diffraction line list is calculated, not measured: it uses a GGA+U-relaxed structure and Cu Ka.
Lines closer than 0.1° are merged.

Most intense lines, 10° ≤ 2θ ≤ 90°, in order of rising 2θ:
2theta  I/Imax
14.17  72.6
14.33  25.1
19.29  100.0
23.74  55.6
23.92  80.1
24.02  21.5
28.57  48.7
30.95  27.9
31.04  66.3
50.78  22.2

Structural model:
```
42
Lattice="8.4165 0.0000 0.0000 -4.1278 7.3601 0.0000 -4.1963 -2.4526 7.8837" Properties=species:S:1:pos:R:3 pbc="T T T"
Li 0.0000 0.0000 0.0000
Li -2.8940 0.7388 4.0227
Li 0.6433 0.3016 2.4564
Li -2.2141 0.9862 6.4775
Li -2.1473 5.5432 4.3316
Li 0.3652 5.7253 2.0704
Li 1.6156 2.6547 4.3809
Li 4.1878 2.7927 2.1801
Mn -1.1290 3.0188 3.4926
Mn -1.0888 -1.9689 7.6828
V 3.0621 0.5444 6.7038
V 3.1402 5.3712 2.9483
P -2.4054 5.1440 1.2746
P -4.0513 3.2576 5.2255
P 0.0502 0.2291 5.2339
P 1.4144 2.9464 1.3459
P 0.6558 5.4670 5.1590
P 6.1001 0.7467 1.2544
O -3.7979 4.6406 1.7960
O -2.5623 1.8135 2.3687
O -2.0152 4.3532 0.0173
O -2.9417 -1.8863 6.5110
O -4.0342 1.6719 5.4102
O -2.5342 6.6661 1.0152
O -4.4914 3.8953 6.4996
O 0.6382 3.0453 0.0044
O 0.2406 -0.8677 4.0857
O -2.6563 3.7127 4.7704
O -1.0445 1.2323 4.7704
O -1.3677 4.9474 2.4221
O 0.5823 2.2405 2.4601
O -0.4220 -0.3314 6.5481
O 2.7052 2.1432 1.1778
O 1.7570 4.4117 1.8043
O 4.7889 -0.0220 1.0934
O 1.4557 0.9172 5.3509
O 0.3003 4.0433 4.7214
O 3.5067 -0.9858 5.2629
O 2.4534 -1.0734 7.8316
O 5.6899 -1.2276 4.0253
O 3.3440 3.5460 4.0298
O 7.2360 -0.2530 1.7150
```

***

Diffraction record for Li4Mn2NbNi3P6O24. The powder diffraction line list is calculated, not measured: it uses a GGA+U-relaxed structure and Cu Ka.
Lines closer than 0.1° are merged.

Most intense lines, 10° ≤ 2θ ≤ 90°, in order of rising 2θ:
2theta  I/Imax
19.93  100.0
20.57  16.3
23.65  19.7
23.76  31.2
23.91  30.5
32.59  34.6
32.80  31.7
33.03  28.8
34.89  57.7
54.55  16.7

Structural model:
```
40
Lattice="8.5487 0.0000 0.0000 4.0119 7.6529 0.0000 4.0019 2.4798 7.2593" Properties=species:S:1:pos:R:3 pbc="T T T"
Li 0.0000 0.0000 0.0000
Li 6.6323 8.5213 3.5604
Li 4.9298 4.3974 2.4316
Li 10.4584 7.0754 5.8064
Mn 6.8302 6.5343 0.9891
Mn 10.8845 3.9755 4.6462
Nb 13.4577 5.4671 5.7515
Ni 8.2614 7.4781 7.1888
Ni 9.1397 8.0420 2.0783
Ni 8.5947 2.4582 3.5664
P 2.6358 2.4708 1.4449
P 5.4593 2.1154 4.9560
P 8.0280 5.7433 4.2676
P 6.8596 2.9468 0.7292
P 13.8068 8.8596 6.4996
P 12.3100 6.8700 2.8345
O 1.5873 2.4096 0.2840
O 4.6310 6.2773 1.6507
O 4.5388 3.3893 5.3112
O 3.6474 3.5802 1.2022
O 6.5492 5.3273 4.6405
O 3.1886 1.0227 1.5172
O 9.5296 9.0032 6.3455
O 4.6655 1.3692 3.8852
O 8.6274 6.5643 5.4125
O 7.8332 6.5648 2.9674
O 6.2026 4.3891 0.5991
O 6.8607 2.4785 4.5675
O 5.8569 1.8398 0.9038
O 8.9075 4.5083 4.0595
O 8.8369 6.8266 0.3432
O 7.9370 3.0359 1.7710
O 10.8611 7.0929 2.5060
O 11.4690 5.2317 6.4970
O 9.8155 2.1768 5.2960
O 13.2688 7.4436 6.0374
O 13.0716 8.0997 3.3163
O 12.3444 5.6782 3.9229
O 10.5578 2.7461 2.8362
O 15.2600 8.7287 6.9567
```

***

Diffraction record for Rb2FeCl5O. The powder diffraction line list is calculated, not measured: it uses a GGA+U-relaxed structure and Cu Ka.
Lines closer than 0.1° are merged.

Most intense lines, 10° ≤ 2θ ≤ 90°, in order of rising 2θ:
2theta  I/Imax
14.57  53.7
15.33  70.7
24.42  86.6
28.41  67.5
29.39  44.8
30.11  100.0
30.81  43.2
30.95  89.5
34.23  81.8
35.36  64.3

Structural model:
```
36
Lattice="13.8552 0.0000 0.0000 0.0000 10.4781 0.0000 0.0000 0.0000 7.4609" Properties=species:S:1:pos:R:3 pbc="T T T"
Rb 1.8971 0.0431 1.2960
Rb 1.8971 5.1959 1.2960
Rb 5.0305 5.2822 5.0264
Rb 5.0305 10.4349 5.0264
Rb 8.8247 0.0431 2.4344
Rb 8.8247 5.1959 2.4344
Rb 11.9581 5.2822 6.1649
Rb 11.9581 10.4349 6.1649
Fe 1.6275 2.6195 5.5046
Fe 5.3001 7.8585 1.7742
Fe 8.5551 2.6195 5.6867
Fe 12.2277 7.8585 1.9562
Cl 0.0078 2.6195 7.1928
Cl 1.4449 0.2651 5.1724
Cl 1.4449 4.9739 5.1724
Cl 2.9266 2.6195 3.1636
Cl 3.3386 7.8585 2.9848
Cl 3.5890 2.6195 6.7152
Cl 4.0010 7.8585 6.8941
Cl 5.4827 5.5041 1.4420
Cl 5.4827 10.2130 1.4420
Cl 6.9198 7.8585 3.4624
Cl 6.9355 2.6195 3.9985
Cl 8.3725 0.2651 6.0189
Cl 8.3725 4.9739 6.0189
Cl 9.8542 2.6195 0.5668
Cl 10.2662 7.8585 0.7457
Cl 10.5166 2.6195 4.4761
Cl 10.9286 7.8585 4.2972
Cl 12.4103 5.5041 2.2884
Cl 12.4103 10.2130 2.2884
Cl 13.8474 7.8585 0.2681
O 0.6194 2.6195 3.7973
O 6.3082 7.8585 0.0669
O 7.5470 2.6195 7.3940
O 13.2359 7.8585 3.6635
```

***

Diffraction record for Sr6MgW4O18. The powder diffraction line list is calculated, not measured: it uses a GGA+U-relaxed structure and Cu Ka.
Lines closer than 0.1° are merged.

Most intense lines, 10° ≤ 2θ ≤ 90°, in order of rising 2θ:
2theta  I/Imax
17.36  100.0
18.49  46.0
25.12  20.9
25.64  21.7
29.00  29.3
29.61  47.9
30.22  23.8
31.65  67.9
41.07  23.7
50.58  22.8

Structural model:
```
29
Lattice="7.2523 0.0000 0.0000 1.1370 7.4084 0.0000 1.5489 1.6527 8.6031" Properties=species:S:1:pos:R:3 pbc="T T T"
Sr 0.0000 0.0000 0.0000
Sr 2.1850 7.7143 4.0539
Sr 2.4766 4.1642 2.3644
Sr 4.2657 3.0110 6.0347
Sr 5.6754 6.7518 5.5171
Sr 6.5704 4.8458 8.5081
Mg 5.8562 4.3460 2.7347
W 2.6268 5.8834 7.1197
W 4.3715 7.1094 1.2448
W 4.9842 1.4927 2.8366
W 8.1033 4.1494 5.4471
O 0.8522 4.6489 0.2719
O 2.0490 3.8531 7.1299
O 1.4934 2.7543 4.4595
O 2.4919 5.2665 5.0277
O 3.0661 7.5791 6.4701
O 2.4808 6.7800 1.8428
O 4.4175 5.2570 7.1300
O 5.4870 8.8823 8.0347
O 3.4464 1.8573 1.4615
O 4.6599 7.4516 3.3860
O 4.4485 3.2667 3.6539
O 4.6289 5.1259 1.4158
O 6.4013 7.4197 1.4116
O 5.8902 0.9706 4.4130
O 6.7185 3.4030 6.4342
O 6.3315 2.5933 1.8735
O 7.0670 5.0356 4.1280
O 7.8895 5.9578 6.6577
```